(1)
For InSb4Pb5, a cell relaxed with PBE gives the computed X-ray diffraction stick pattern in this record (Cu Ka).
Kinematic intensities with the Lorentz-polarization factor, no thermal factor.

Most intense lines, 10° ≤ 2θ ≤ 90°, in order of falling intensity:
24.31°, 3.661 Å, intensity 100
33.22°, 2.697 Å, intensity 72
40.47°, 2.229 Å, intensity 67
38.46°, 2.341 Å, intensity 66
27.78°, 3.211 Å, intensity 62
47.07°, 1.930 Å, intensity 60
32.46°, 2.758 Å, intensity 58
31.80°, 2.814 Å, intensity 58

Structure:
```
InSb4Pb5
1.0
4.458 0.000 0.000
-0.041 7.728 0.000
-2.216 -2.147 9.627
In Sb Pb
1 4 5
Cartesian
0.000 0.000 0.000
-0.008 1.856 2.602
0.001 -0.357 8.474
2.200 5.938 1.152
2.209 3.725 7.025
-0.020 3.864 0.000
-0.023 5.688 5.908
-0.021 1.718 6.078
2.222 3.863 3.549
2.224 -0.107 3.718
```

---

(2)
For BaBRhO5, a cell relaxed with PBE gives the computed X-ray diffraction stick pattern in this record (Cu Ka).
Kinematic intensities with the Lorentz-polarization factor, no thermal factor.

Most intense lines, 10° ≤ 2θ ≤ 90°, in order of falling intensity:
26.96°, 3.307 Å, intensity 100
33.07°, 2.709 Å, intensity 83
29.26°, 3.052 Å, intensity 73
18.10°, 4.900 Å, intensity 39
23.91°, 3.721 Å, intensity 35
33.89°, 2.645 Å, intensity 33
51.06°, 1.789 Å, intensity 27
42.64°, 2.120 Å, intensity 25

Structure:
```
BaBRhO5
1.0
3.356 -4.534 0.000
3.356 4.534 0.000
-2.978 0.000 6.513
Ba B Rh O
2 2 2 10
Cartesian
1.123 3.150 4.885
2.612 -3.150 1.628
2.612 2.671 1.628
1.123 -2.671 4.885
3.356 0.000 0.000
1.867 0.000 3.257
-1.496 0.897 5.857
1.661 1.900 2.436
-0.007 -0.897 2.601
3.562 1.900 0.820
1.123 0.580 4.885
2.612 -0.580 1.628
0.172 -1.900 5.693
3.741 0.897 3.912
2.073 -1.900 4.077
5.230 -0.897 0.656
```

---

(3)
For Cs2ReF6, a cell relaxed with PBE gives the computed X-ray diffraction stick pattern in this record (Cu Ka).
Kinematic intensities with the Lorentz-polarization factor, no thermal factor.

Most intense lines, 10° ≤ 2θ ≤ 90°, in order of falling intensity:
21.39°, 4.153 Å, intensity 100
25.94°, 3.435 Å, intensity 62
29.68°, 3.010 Å, intensity 48
37.63°, 2.391 Å, intensity 30
30.44°, 2.936 Å, intensity 22
15.94°, 5.559 Å, intensity 15
45.52°, 1.993 Å, intensity 14
36.07°, 2.490 Å, intensity 14

Structure:
```
Cs2ReF6
1.0
6.493 0.000 0.000
0.000 8.296 0.000
-3.999 0.000 7.489
Cs Re F
4 2 12
Cartesian
-0.138 0.535 2.426
-2.138 3.613 6.170
4.631 4.683 1.319
2.632 7.761 5.063
3.246 0.000 0.000
1.247 4.148 3.745
-2.541 0.889 7.402
-0.541 3.260 3.658
0.379 5.900 3.377
-1.620 6.545 7.122
-0.589 0.294 5.529
1.411 3.854 1.784
1.083 4.442 5.705
3.082 8.002 1.960
4.113 1.751 0.367
2.114 2.397 4.112
3.034 5.037 3.832
5.034 7.408 0.087
```

---

(4)
For Sn2SCl2, a cell relaxed with PBE gives the computed X-ray diffraction stick pattern in this record (Cu Ka).
Kinematic intensities with the Lorentz-polarization factor, no thermal factor.

Most intense lines, 10° ≤ 2θ ≤ 90°, in order of falling intensity:
22.10°, 4.023 Å, intensity 100
18.03°, 4.920 Å, intensity 93
27.69°, 3.222 Å, intensity 93
30.82°, 2.901 Å, intensity 73
41.90°, 2.156 Å, intensity 61
38.25°, 2.353 Å, intensity 49
42.38°, 2.133 Å, intensity 38
53.32°, 1.718 Å, intensity 35

Structure:
```
Sn2SCl2
1.0
6.633 -2.901 0.000
6.633 2.901 0.000
-4.551 0.000 8.530
Sn S Cl
4 2 4
Cartesian
-0.765 0.000 2.923
0.147 0.000 7.679
8.568 0.000 0.852
9.480 0.000 5.607
-1.210 0.000 5.518
9.925 0.000 3.012
2.074 0.000 0.394
2.469 0.000 5.991
6.246 0.000 2.539
6.640 0.000 8.136
```

---

(5)
For Ce2AsN2, a cell relaxed with PBE gives the computed X-ray diffraction stick pattern in this record (Cu Ka).
Kinematic intensities with the Lorentz-polarization factor, no thermal factor.

Most intense lines, 10° ≤ 2θ ≤ 90°, in order of falling intensity:
30.93°, 2.891 Å, intensity 100
32.50°, 2.755 Å, intensity 50
31.05°, 2.880 Å, intensity 33
46.63°, 1.948 Å, intensity 24
56.95°, 1.617 Å, intensity 23
57.11°, 1.613 Å, intensity 23
53.97°, 1.699 Å, intensity 15
54.19°, 1.692 Å, intensity 15

Structure:
```
Ce2AsN2
1.0
6.732 -1.948 0.000
6.732 1.948 0.000
-1.106 0.000 3.736
Ce As N
2 1 2
Cartesian
1.983 0.000 0.607
10.375 0.000 3.128
6.179 0.000 1.868
2.536 0.000 2.802
9.822 0.000 0.934
```

---

(6)
For Ba2HoTlF8, a cell relaxed with PBE gives the computed X-ray diffraction stick pattern in this record (Cu Ka).
Kinematic intensities with the Lorentz-polarization factor, no thermal factor.

Most intense lines, 10° ≤ 2θ ≤ 90°, in order of falling intensity:
25.43°, 3.502 Å, intensity 100
41.98°, 2.152 Å, intensity 39
50.15°, 1.819 Å, intensity 32
29.67°, 3.011 Å, intensity 19
42.46°, 2.129 Å, intensity 19
49.29°, 1.849 Å, intensity 16
67.05°, 1.396 Å, intensity 14
77.35°, 1.234 Å, intensity 11

Structure:
```
Ba2HoTlF8
1.0
-3.011 3.011 6.156
3.011 -3.011 6.156
3.011 3.011 -6.156
Ba Ho Tl F
2 1 1 8
Cartesian
0.000 0.000 0.000
0.000 3.011 3.078
3.011 0.000 3.078
0.000 0.000 6.156
1.307 1.618 -1.740
1.703 -1.393 4.417
1.618 1.307 1.740
4.404 1.307 1.740
1.307 4.404 -1.740
1.703 1.393 4.417
-1.393 1.703 7.896
1.393 1.703 7.896
```

---

(7)
For Nd3Ga2Rh2, a cell relaxed with PBE gives the computed X-ray diffraction stick pattern in this record (Cu Ka).
Kinematic intensities with the Lorentz-polarization factor, no thermal factor.

Most intense lines, 10° ≤ 2θ ≤ 90°, in order of falling intensity:
33.39°, 2.683 Å, intensity 100
38.82°, 2.320 Å, intensity 97
34.06°, 2.632 Å, intensity 78
36.85°, 2.439 Å, intensity 71
32.23°, 2.778 Å, intensity 48
39.03°, 2.308 Å, intensity 39
29.34°, 3.044 Å, intensity 26
54.76°, 1.676 Å, intensity 23

Structure:
```
Nd3Ga2Rh2
1.0
5.688 0.000 0.000
0.000 8.099 0.000
0.000 0.000 13.846
Nd Ga Rh
12 8 8
Cartesian
0.747 1.938 3.462
0.747 2.111 10.385
2.001 4.854 1.364
2.001 4.854 5.559
2.001 7.295 8.287
2.001 7.295 12.482
3.687 0.804 1.364
3.687 0.804 5.559
3.687 3.245 8.287
3.687 3.245 12.482
4.940 5.988 3.462
4.940 6.161 10.385
0.745 2.025 0.000
0.745 2.025 6.923
2.076 4.943 10.385
2.076 7.206 3.462
3.611 0.893 10.385
3.611 3.156 3.462
4.943 6.074 0.000
4.943 6.074 6.923
0.814 4.306 8.186
0.814 4.306 12.583
0.814 7.843 1.263
0.814 7.843 5.660
4.873 0.256 8.186
4.873 0.256 12.583
4.873 3.793 1.263
4.873 3.793 5.660
```

---

Copy entry 1 word for word.
For InSb4Pb5, a cell relaxed with PBE gives the computed X-ray diffraction stick pattern in this record (Cu Ka).
Kinematic intensities with the Lorentz-polarization factor, no thermal factor.

Most intense lines, 10° ≤ 2θ ≤ 90°, in order of falling intensity:
24.31°, 3.661 Å, intensity 100
33.22°, 2.697 Å, intensity 72
40.47°, 2.229 Å, intensity 67
38.46°, 2.341 Å, intensity 66
27.78°, 3.211 Å, intensity 62
47.07°, 1.930 Å, intensity 60
32.46°, 2.758 Å, intensity 58
31.80°, 2.814 Å, intensity 58

Structure:
```
InSb4Pb5
1.0
4.458 0.000 0.000
-0.041 7.728 0.000
-2.216 -2.147 9.627
In Sb Pb
1 4 5
Cartesian
0.000 0.000 0.000
-0.008 1.856 2.602
0.001 -0.357 8.474
2.200 5.938 1.152
2.209 3.725 7.025
-0.020 3.864 0.000
-0.023 5.688 5.908
-0.021 1.718 6.078
2.222 3.863 3.549
2.224 -0.107 3.718
```